Record 1
# PmTm3
Computed XRD peak list, Cu Kα X-rays. Input: a DFT-relaxed cell (PBE, the Materials Project).
Peak positions follow from Bragg's law for the DFT cell and can differ from measured ones.

Peak list (10 most intense, 2θ = 15–90°, in order of rising 2θ)
d = 3.112 Å, I = 24
d = 2.829 Å, I = 25
d = 2.727 Å, I = 100
d = 2.093 Å, I = 16
d = 1.797 Å, I = 20
d = 1.613 Å, I = 21
d = 1.517 Å, I = 23
d = 1.501 Å, I = 16
d = 1.152 Å, I = 14
d = 1.111 Å, I = 9

```
data_PmTm3
_chemical_formula_sum 'Pm2 Tm6'
_cell_length_a 7.1880
_cell_length_b 7.1880
_cell_length_c 5.6574
_cell_angle_alpha 90.00
_cell_angle_beta 90.00
_cell_angle_gamma 120.00
_space_group_name_H-M_alt 'P 63/m m c'
_space_group_IT_number 194
_space_group_name_Hall '-P 6c 2c'
loop_
_atom_site_label
_atom_site_type_symbol
_atom_site_fract_x
_atom_site_fract_y
_atom_site_fract_z
Pm1 Pm 0.3333 0.6667 0.2500
Tm1 Tm 0.1647 0.3294 0.7500
```



Record 2
# PmTm3
Computed XRD peak list, Cu Kα X-rays. Input: a DFT-relaxed cell (PBE, the Materials Project).
Peak positions follow from Bragg's law for the DFT cell and can differ from measured ones.

Peak list (10 most intense, 2θ = 15–90°, in order of rising 2θ)
d = 2.887 Å, I = 100
d = 2.501 Å, I = 51
d = 1.768 Å, I = 36
d = 1.508 Å, I = 43
d = 1.444 Å, I = 12
d = 1.252 Å, I = 2
d = 1.250 Å, I = 4
d = 1.147 Å, I = 18
d = 1.119 Å, I = 6
d = 1.118 Å, I = 11

```
data_PmTm3
_chemical_formula_sum 'Pm2 Tm6'
_cell_length_a 4.999
_cell_length_b 4.999
_cell_length_c 10.013
_cell_angle_alpha 90.00
_cell_angle_beta 90.00
_cell_angle_gamma 90.00
_space_group_name_H-M_alt 'I 4/m m m'
_space_group_IT_number 139
_space_group_name_Hall '-I 4 2'
loop_
_atom_site_label
_atom_site_type_symbol
_atom_site_fract_x
_atom_site_fract_y
_atom_site_fract_z
Pm1 Pm 0.000 0.000 0.000
Tm1 Tm 0.000 0.000 0.500
Tm2 Tm 0.000 0.500 0.250
```



Record 3
# Pm3Tm
Computed XRD peak list, Cu Kα X-rays. Input: a DFT-relaxed cell (PBE, the Materials Project).
Peak positions follow from Bragg's law for the DFT cell and can differ from measured ones.

Peak list (10 most intense, 2θ = 15–90°, in order of rising 2θ)
d = 2.955 Å, I = 100
d = 2.570 Å, I = 17
d = 2.554 Å, I = 34
d = 1.812 Å, I = 24
d = 1.806 Å, I = 12
d = 1.548 Å, I = 15
d = 1.541 Å, I = 29
d = 1.478 Å, I = 12
d = 1.175 Å, I = 12
d = 1.172 Å, I = 6

```
data_Pm3Tm
_chemical_formula_sum 'Pm6 Tm2'
_cell_length_a 5.108
_cell_length_b 5.108
_cell_length_c 10.281
_cell_angle_alpha 90.00
_cell_angle_beta 90.00
_cell_angle_gamma 90.00
_space_group_name_H-M_alt 'I 4/m m m'
_space_group_IT_number 139
_space_group_name_Hall '-I 4 2'
loop_
_atom_site_label
_atom_site_type_symbol
_atom_site_fract_x
_atom_site_fract_y
_atom_site_fract_z
Pm1 Pm 0.000 0.000 0.000
Pm2 Pm 0.000 0.500 0.250
Tm1 Tm 0.000 0.000 0.500
```



Record 4
# PmTm3
Computed XRD peak list, Cu Kα X-rays. Input: a DFT-relaxed cell (PBE, the Materials Project).
Peak positions follow from Bragg's law for the DFT cell and can differ from measured ones.

Peak list (8 most intense, 2θ = 15–90°, in order of rising 2θ)
d = 2.877 Å, I = 100
d = 2.492 Å, I = 51
d = 1.762 Å, I = 36
d = 1.503 Å, I = 43
d = 1.439 Å, I = 12
d = 1.246 Å, I = 6
d = 1.143 Å, I = 18
d = 1.114 Å, I = 17

```
data_PmTm3
_chemical_formula_sum 'Pm1 Tm3'
_cell_length_a 4.983
_cell_length_b 4.983
_cell_length_c 4.983
_cell_angle_alpha 90.00
_cell_angle_beta 90.00
_cell_angle_gamma 90.00
_space_group_name_H-M_alt 'P m -3 m'
_space_group_IT_number 221
_space_group_name_Hall '-P 4 2 3'
loop_
_atom_site_label
_atom_site_type_symbol
_atom_site_fract_x
_atom_site_fract_y
_atom_site_fract_z
Pm1 Pm 0.000 0.000 0.000
Tm1 Tm 0.000 0.500 0.500
```



Record 5
# Pm3Tm
Computed XRD peak list, Cu Kα X-rays. Input: a DFT-relaxed cell (PBE, the Materials Project).
Peak positions follow from Bragg's law for the DFT cell and can differ from measured ones.

Peak list (10 most intense, 2θ = 15–90°, in order of rising 2θ)
d = 3.159 Å, I = 23
d = 2.943 Å, I = 26
d = 2.783 Å, I = 100
d = 2.153 Å, I = 16
d = 1.824 Å, I = 19
d = 1.667 Å, I = 22
d = 1.550 Å, I = 23
d = 1.525 Å, I = 16
d = 1.170 Å, I = 14
d = 1.145 Å, I = 9

```
data_Pm3Tm
_chemical_formula_sum 'Pm6 Tm2'
_cell_length_a 7.2947
_cell_length_b 7.2947
_cell_length_c 5.8868
_cell_angle_alpha 90.00
_cell_angle_beta 90.00
_cell_angle_gamma 120.00
_space_group_name_H-M_alt 'P 63/m m c'
_space_group_IT_number 194
_space_group_name_Hall '-P 6c 2c'
loop_
_atom_site_label
_atom_site_type_symbol
_atom_site_fract_x
_atom_site_fract_y
_atom_site_fract_z
Pm1 Pm 0.1679 0.3357 0.2500
Tm1 Tm 0.3333 0.6667 0.7500
```



Record 6
# PmTmZn2
Computed XRD peak list, Cu Kα X-rays. Input: a DFT-relaxed cell (PBE, the Materials Project).
Peak positions follow from Bragg's law for the DFT cell and can differ from measured ones.

Peak list (9 most intense, 2θ = 15–90°, in order of rising 2θ)
d = 3.597 Å, I = 17
d = 2.543 Å, I = 100
d = 2.077 Å, I = 5
d = 1.798 Å, I = 18
d = 1.609 Å, I = 7
d = 1.468 Å, I = 36
d = 1.272 Å, I = 11
d = 1.199 Å, I = 4
d = 1.137 Å, I = 16

```
data_PmTmZn2
_chemical_formula_sum 'Pm4 Tm4 Zn8'
_cell_length_a 7.194
_cell_length_b 7.194
_cell_length_c 7.194
_cell_angle_alpha 90.00
_cell_angle_beta 90.00
_cell_angle_gamma 90.00
_space_group_name_H-M_alt 'F m -3 m'
_space_group_IT_number 225
_space_group_name_Hall '-F 4 2 3'
loop_
_atom_site_label
_atom_site_type_symbol
_atom_site_fract_x
_atom_site_fract_y
_atom_site_fract_z
Pm1 Pm 0.000 0.000 0.000
Tm1 Tm 0.000 0.000 0.500
Zn1 Zn 0.250 0.250 0.250
```



Question: What is the formula in the fifth record?
Answer: Pm3Tm



Copy entry 1 word for word.
# PmTm3
Computed XRD peak list, Cu Kα X-rays. Input: a DFT-relaxed cell (PBE, the Materials Project).
Peak positions follow from Bragg's law for the DFT cell and can differ from measured ones.

Peak list (10 most intense, 2θ = 15–90°, in order of rising 2θ)
d = 3.112 Å, I = 24
d = 2.829 Å, I = 25
d = 2.727 Å, I = 100
d = 2.093 Å, I = 16
d = 1.797 Å, I = 20
d = 1.613 Å, I = 21
d = 1.517 Å, I = 23
d = 1.501 Å, I = 16
d = 1.152 Å, I = 14
d = 1.111 Å, I = 9

```
data_PmTm3
_chemical_formula_sum 'Pm2 Tm6'
_cell_length_a 7.1880
_cell_length_b 7.1880
_cell_length_c 5.6574
_cell_angle_alpha 90.00
_cell_angle_beta 90.00
_cell_angle_gamma 120.00
_space_group_name_H-M_alt 'P 63/m m c'
_space_group_IT_number 194
_space_group_name_Hall '-P 6c 2c'
loop_
_atom_site_label
_atom_site_type_symbol
_atom_site_fract_x
_atom_site_fract_y
_atom_site_fract_z
Pm1 Pm 0.3333 0.6667 0.2500
Tm1 Tm 0.1647 0.3294 0.7500
```